1.
Computed PXRD pattern of PrSmB2As2Ir2 for Cu Ka, from a PBE-relaxed structure.
Kinematic intensities with the Lorentz-polarization factor, no thermal factor.

abc: 4.0478 4.0478 8.6758
angles: 90.00 90.00 90.00
Fractional coordinates of all 8 atoms:
Pr 0.0000 0.0000 0.0000
Sm 0.5000 0.5000 0.5877
B 0.0000 0.0000 0.3952
B 0.5000 0.5000 0.1903
As 0.0000 0.0000 0.6428
As 0.5000 0.5000 0.9381
Ir 0.0000 0.5000 0.2942
Ir 0.5000 0.0000 0.2942

Principal peaks in the range 2θ from 10° to 80°, in order of rising 2θ:
8.676 Å, 10.20°, I = 59; 2.892 Å, 30.92°, I = 51; 2.718 Å, 32.95°, I = 93; 2.389 Å, 37.65°, I = 100; 2.024 Å, 44.78°, I = 49; 1.658 Å, 55.41°, I = 40



2.
Computed PXRD pattern of SmYB2As2Ir2 for Cu Ka, from a PBE-relaxed structure.
Kinematic intensities with the Lorentz-polarization factor, no thermal factor.

abc: 3.9923 3.9923 8.6710
angles: 90.00 90.00 90.00
Fractional coordinates of all 8 atoms:
Sm 0.0000 0.0000 0.0000
Y 0.5000 0.5000 0.5832
B 0.0000 0.0000 0.3943
B 0.5000 0.5000 0.1844
As 0.0000 0.0000 0.6422
As 0.5000 0.5000 0.9332
Ir 0.0000 0.5000 0.2912
Ir 0.5000 0.0000 0.2912

Principal peaks in the range 2θ from 10° to 80°, in order of rising 2θ:
8.671 Å, 10.20°, I = 82; 2.890 Å, 30.94°, I = 52; 2.684 Å, 33.38°, I = 100; 2.366 Å, 38.04°, I = 99; 1.996 Å, 45.44°, I = 48; 1.643 Å, 55.98°, I = 39



3.
Computed PXRD pattern of LaPr2Ni2B2As3 for Cu Ka, from a PBE-relaxed structure.
Kinematic intensities with the Lorentz-polarization factor, no thermal factor.

abc: 11.5891 11.5891 11.5891
angles: 159.25 159.25 29.51
Fractional coordinates of all 10 atoms:
La 0.0000 0.0000 0.0000
Pr 0.3561 0.3561 0.0000
Pr 0.6439 0.6439 0.0000
Ni 0.2500 0.7500 0.5000
Ni 0.7500 0.2500 0.5000
B 0.2248 0.2248 0.0000
B 0.7752 0.7752 0.0000
As 0.1321 0.1321 0.0000
As 0.5000 0.5000 0.0000
As 0.8679 0.8679 0.0000

Principal peaks in the range 2θ from 10° to 80°, in order of rising 2θ:
2.951 Å, 30.29°, I = 90; 2.802 Å, 31.94°, I = 59; 2.611 Å, 34.34°, I = 42; 2.316 Å, 38.89°, I = 100; 2.087 Å, 43.36°, I = 74; 1.674 Å, 54.86°, I = 50



4.
Computed PXRD pattern of Nb4B3As for Cu Ka, from a PBE-relaxed structure.
Kinematic intensities with the Lorentz-polarization factor, no thermal factor.

abc: 3.3273 3.3273 22.7907
angles: 90.00 90.00 120.00
Fractional coordinates of all 16 atoms:
Nb 0.0000 0.0000 0.1689
Nb 0.0000 0.0000 0.3311
Nb 0.0000 0.0000 0.6689
Nb 0.0000 0.0000 0.8311
Nb 0.3333 0.6667 0.0568
Nb 0.3333 0.6667 0.4432
Nb 0.6667 0.3333 0.5568
Nb 0.6667 0.3333 0.9432
B 0.0000 0.0000 0.0000
B 0.0000 0.0000 0.5000
B 0.3333 0.6667 0.6153
B 0.3333 0.6667 0.8847
B 0.6667 0.3333 0.1153
B 0.6667 0.3333 0.3847
As 0.3333 0.6667 0.2500
As 0.6667 0.3333 0.7500

Principal peaks in the range 2θ from 10° to 80°, in order of rising 2θ:
2.859 Å, 31.29°, I = 29; 2.794 Å, 32.04°, I = 33; 2.436 Å, 36.90°, I = 78; 2.296 Å, 39.24°, I = 100; 1.664 Å, 55.21°, I = 49; 1.344 Å, 70.02°, I = 27



5.
Computed PXRD pattern of PrNd2Ni2B2As3 for Cu Ka, from a PBE-relaxed structure.
Kinematic intensities with the Lorentz-polarization factor, no thermal factor.

abc: 11.5159 11.5159 11.5159
angles: 159.24 159.24 29.52
Fractional coordinates of all 10 atoms:
Pr 0.0000 0.0000 0.0000
Nd 0.3572 0.3572 0.0000
Nd 0.6428 0.6428 0.0000
Ni 0.2500 0.7500 0.5000
Ni 0.7500 0.2500 0.5000
B 0.2248 0.2248 0.0000
B 0.7752 0.7752 0.0000
As 0.1317 0.1317 0.0000
As 0.5000 0.5000 0.0000
As 0.8683 0.8683 0.0000

Principal peaks in the range 2θ from 10° to 80°, in order of rising 2θ:
2.934 Å, 30.47°, I = 95; 2.784 Å, 32.15°, I = 64; 2.596 Å, 34.55°, I = 44; 2.302 Å, 39.13°, I = 100; 2.075 Å, 43.63°, I = 77; 1.664 Å, 55.21°, I = 54



6.
Computed PXRD pattern of Sm2YNi2B2As3 for Cu Ka, from a PBE-relaxed structure.
Kinematic intensities with the Lorentz-polarization factor, no thermal factor.

abc: 11.3612 11.3612 11.3612
angles: 159.43 159.43 29.25
Fractional coordinates of all 10 atoms:
Sm 0.1418 0.1418 0.0000
Sm 0.8582 0.8582 0.0000
Y 0.5000 0.5000 0.0000
Ni 0.2500 0.7500 0.5000
Ni 0.7500 0.2500 0.5000
B 0.2766 0.2766 0.0000
B 0.7234 0.7234 0.0000
As 0.0000 0.0000 0.0000
As 0.3717 0.3717 0.0000
As 0.6283 0.6283 0.0000

Principal peaks in the range 2θ from 10° to 80°, in order of rising 2θ:
2.869 Å, 31.18°, I = 100; 2.748 Å, 32.58°, I = 74; 2.543 Å, 35.29°, I = 79; 2.259 Å, 39.91°, I = 93; 2.029 Å, 44.67°, I = 84; 1.632 Å, 56.37°, I = 60



7.
Computed PXRD pattern of PmBAsO for Cu Ka, from a PBE-relaxed structure.
Kinematic intensities with the Lorentz-polarization factor, no thermal factor.

abc: 4.0980 6.1844 6.0322
angles: 90.00 90.00 90.00
Fractional coordinates of all 8 atoms:
Pm 0.0000 0.2499 0.0000
Pm 0.0000 0.7501 0.5000
B 0.5000 0.1305 0.4902
B 0.5000 0.8695 0.9902
As 0.0000 0.2699 0.4987
As 0.0000 0.7301 0.9987
O 0.5000 0.0878 0.9900
O 0.5000 0.9122 0.4900

Principal peaks in the range 2θ from 10° to 80°, in order of rising 2θ:
4.098 Å, 21.69°, I = 100; 3.092 Å, 28.87°, I = 59; 3.016 Å, 29.62°, I = 75; 2.468 Å, 36.40°, I = 72; 2.429 Å, 37.01°, I = 52; 1.910 Å, 47.60°, I = 70



8.
Computed PXRD pattern of B4AsPt for Cu Ka, from a PBE-relaxed structure.
Kinematic intensities with the Lorentz-polarization factor, no thermal factor.

abc: 3.0579 3.0579 7.4027
angles: 90.00 90.00 120.00
Fractional coordinates of all 6 atoms:
B 0.3333 0.6667 0.2468
B 0.3333 0.6667 0.7532
B 0.6667 0.3333 0.2468
B 0.6667 0.3333 0.7532
As 0.0000 0.0000 0.5000
Pt 0.0000 0.0000 0.0000

Principal peaks in the range 2θ from 10° to 80°, in order of rising 2θ:
7.403 Å, 11.96°, I = 54; 3.701 Å, 24.04°, I = 48; 2.648 Å, 33.85°, I = 71; 2.493 Å, 36.02°, I = 24; 2.154 Å, 41.95°, I = 100; 1.517 Å, 61.09°, I = 27



9.
Computed PXRD pattern of Ta4B3As for Cu Ka, from a PBE-relaxed structure.
Kinematic intensities with the Lorentz-polarization factor, no thermal factor.

abc: 3.3232 3.3232 22.5798
angles: 90.00 90.00 120.00
Fractional coordinates of all 16 atoms:
Ta 0.0000 0.0000 0.1683
Ta 0.0000 0.0000 0.3317
Ta 0.0000 0.0000 0.6683
Ta 0.0000 0.0000 0.8317
Ta 0.3333 0.6667 0.0566
Ta 0.3333 0.6667 0.4434
Ta 0.6667 0.3333 0.5566
Ta 0.6667 0.3333 0.9434
B 0.0000 0.0000 0.0000
B 0.0000 0.0000 0.5000
B 0.3333 0.6667 0.6155
B 0.3333 0.6667 0.8845
B 0.6667 0.3333 0.1155
B 0.6667 0.3333 0.3845
As 0.3333 0.6667 0.2500
As 0.6667 0.3333 0.7500

Principal peaks in the range 2θ from 10° to 80°, in order of rising 2θ:
2.822 Å, 31.70°, I = 23; 2.789 Å, 32.09°, I = 52; 2.564 Å, 35.00°, I = 26; 2.427 Å, 37.04°, I = 67; 2.286 Å, 39.42°, I = 100; 1.662 Å, 55.29°, I = 50



10.
Computed PXRD pattern of Zr4B3As for Cu Ka, from a PBE-relaxed structure.
Kinematic intensities with the Lorentz-polarization factor, no thermal factor.

abc: 3.4905 3.4905 24.4713
angles: 90.00 90.00 120.00
Fractional coordinates of all 16 atoms:
Zr 0.0000 0.0000 0.1717
Zr 0.0000 0.0000 0.3283
Zr 0.0000 0.0000 0.6717
Zr 0.0000 0.0000 0.8283
Zr 0.3333 0.6667 0.0584
Zr 0.3333 0.6667 0.4416
Zr 0.6667 0.3333 0.5584
Zr 0.6667 0.3333 0.9416
B 0.0000 0.0000 0.0000
B 0.0000 0.0000 0.5000
B 0.3333 0.6667 0.6179
B 0.3333 0.6667 0.8821
B 0.6667 0.3333 0.1179
B 0.6667 0.3333 0.3821
As 0.3333 0.6667 0.2500
As 0.6667 0.3333 0.7500

Principal peaks in the range 2θ from 10° to 80°, in order of rising 2θ:
3.000 Å, 29.78°, I = 29; 2.935 Å, 30.46°, I = 33; 2.572 Å, 34.89°, I = 76; 2.429 Å, 37.02°, I = 100; 1.792 Å, 50.97°, I = 20; 1.745 Å, 52.42°, I = 50



11.
Computed PXRD pattern of Ba2CdBiAs for Cu Ka, from a PBE-relaxed structure.
Kinematic intensities with the Lorentz-polarization factor, no thermal factor.

abc: 9.7671 9.7671 8.0267
angles: 90.00 90.00 151.30
Fractional coordinates of all 10 atoms:
Ba 0.0267 0.9733 0.5000
Ba 0.1915 0.8085 0.1929
Ba 0.8085 0.1915 0.6929
Ba 0.9733 0.0267 0.0000
Cd 0.4071 0.5929 0.3523
Cd 0.5929 0.4071 0.8523
Bi 0.1741 0.8259 0.7522
Bi 0.8259 0.1741 0.2522
As 0.4419 0.5581 0.7050
As 0.5581 0.4419 0.2050

Principal peaks in the range 2θ from 10° to 80°, in order of rising 2θ:
6.121 Å, 14.47°, I = 31; 3.841 Å, 23.16°, I = 28; 3.695 Å, 24.09°, I = 37; 2.982 Å, 29.96°, I = 73; 2.775 Å, 32.26°, I = 100; 2.421 Å, 37.13°, I = 38



12.
Computed PXRD pattern of BaSrCdBiAs for Cu Ka, from a PBE-relaxed structure.
Kinematic intensities with the Lorentz-polarization factor, no thermal factor.

abc: 9.2046 9.2046 8.1860
angles: 90.00 90.00 150.19
Fractional coordinates of all 10 atoms:
Ba 0.2178 0.7822 0.5000
Ba 0.7822 0.2178 0.0000
Sr 0.0328 0.9672 0.1220
Sr 0.9672 0.0328 0.6220
Cd 0.4063 0.5937 0.2902
Cd 0.5937 0.4063 0.7902
Bi 0.4290 0.5710 0.9132
Bi 0.5710 0.4290 0.4132
As 0.1656 0.8344 0.8820
As 0.8344 0.1656 0.3820

Principal peaks in the range 2θ from 10° to 80°, in order of rising 2θ:
4.093 Å, 21.71°, I = 33; 3.372 Å, 26.43°, I = 100; 3.051 Å, 29.28°, I = 61; 2.844 Å, 31.45°, I = 71; 2.745 Å, 32.62°, I = 32; 2.367 Å, 38.01°, I = 43